[1]
This entry pairs a crystal structure of TbGe2Pd5 with its calculated powder XRD pattern. Radiation: CuKα. Structure: a cell relaxed with GGA-PBE.
Neutral-atom scattering factors, no anomalous dispersion.

Largest 12 diffraction maxima, by intensity, 2θ = 10–90°:
d 2.557, 2θ 35.09, intensity 100; d 2.511, 2θ 35.76, intensity 91; d 2.053, 2θ 44.12, intensity 84; d 1.404, 2θ 66.61, intensity 34; d 1.925, 2θ 47.21, intensity 34; d 1.251, 2θ 76.10, intensity 17; d 2.808, 2θ 31.87, intensity 16; d 1.898, 2θ 47.92, intensity 15; d 2.360, 2θ 38.14, intensity 13; d 2.938, 2θ 30.43, intensity 13; d 1.822, 2θ 50.07, intensity 11; d 1.475, 2θ 63.05, intensity 11

Structural model:
Unit cell a=3.8502 b=7.2872 c=9.9346 alpha=90.00 beta=90.00 gamma=90.00
Element x y z (fractional)
Tb 0.0000 0.0000 0.0000
Tb 0.5000 0.5000 0.5000
Ge 0.0000 0.5000 0.2500
Ge 0.0000 0.5000 0.7500
Ge 0.5000 0.0000 0.2500
Ge 0.5000 0.0000 0.7500
Pd 0.0000 0.1980 0.3557
Pd 0.0000 0.1980 0.6443
Pd 0.0000 0.5000 0.0000
Pd 0.0000 0.8020 0.3557
Pd 0.0000 0.8020 0.6443
Pd 0.5000 0.0000 0.5000
Pd 0.5000 0.3020 0.1443
Pd 0.5000 0.3020 0.8557
Pd 0.5000 0.6980 0.1443
Pd 0.5000 0.6980 0.8557

=====

[2]
This entry pairs a crystal structure of PrMg7Al5 with its calculated powder XRD pattern. Radiation: CuKα. Structure: a cell relaxed with GGA-PBE.
Neutral-atom scattering factors, no anomalous dispersion.

Largest 12 diffraction maxima, by intensity, 2θ = 10–90°:
d 2.464, 2θ 36.47, intensity 100; d 3.475, 2θ 25.64, intensity 54; d 2.443, 2θ 36.79, intensity 52; d 6.990, 2θ 12.66, intensity 44; d 4.886, 2θ 18.16, intensity 34; d 2.834, 2θ 31.57, intensity 24; d 2.851, 2θ 31.37, intensity 23; d 1.547, 2θ 59.79, intensity 19; d 2.482, 2θ 36.20, intensity 19; d 2.810, 2θ 31.85, intensity 13; d 3.495, 2θ 25.49, intensity 13; d 3.136, 2θ 28.46, intensity 12

Structural model:
Unit cell a=7.5340 b=7.5340 c=7.5340 alpha=136.20 beta=98.41 gamma=97.59
Element x y z (fractional)
Pr 0.0000 0.0000 0.0000
Mg 0.2229 0.5133 0.7096
Mg 0.2308 0.7308 0.5000
Mg 0.3585 0.3585 0.0000
Mg 0.3659 0.0150 0.3509
Mg 0.6578 0.6578 0.0000
Mg 0.6641 0.0150 0.6491
Mg 0.8037 0.5133 0.2904
Al 0.0080 0.0134 0.4926
Al 0.0080 0.5154 0.9946
Al 0.5208 0.0134 0.0054
Al 0.5208 0.5154 0.5074
Al 0.8003 0.3003 0.5000

=====

[3]
This entry pairs a crystal structure of Pm2Mg3Ga with its calculated powder XRD pattern. Radiation: CuKα. Structure: a cell relaxed with GGA-PBE.
Neutral-atom scattering factors, no anomalous dispersion.

Largest 12 diffraction maxima, by intensity, 2θ = 10–90°:
d 2.739, 2θ 32.69, intensity 100; d 4.353, 2θ 20.40, intensity 57; d 2.516, 2θ 35.68, intensity 36; d 1.850, 2θ 49.25, intensity 20; d 2.507, 2θ 35.82, intensity 19; d 1.443, 2θ 64.60, intensity 19; d 1.492, 2θ 62.22, intensity 17; d 8.727, 2θ 10.14, intensity 11; d 1.488, 2θ 62.41, intensity 10; d 1.855, 2θ 49.11, intensity 9; d 1.633, 2θ 56.33, intensity 8; d 1.762, 2θ 51.89, intensity 7

Structural model:
Unit cell a=3.5244 b=5.0138 c=8.7268 alpha=90.00 beta=90.00 gamma=90.00
Element x y z (fractional)
Pm 0.0000 0.0000 0.0000
Pm 0.0000 0.5000 0.4644
Mg 0.5000 0.0000 0.6429
Mg 0.5000 0.5000 0.1492
Mg 0.5000 0.5000 0.8121
Ga 0.5000 0.0000 0.3173

=====

[4]
This entry pairs a crystal structure of Sm3Sb2Pt7 with its calculated powder XRD pattern. Radiation: CuKα. Structure: a cell relaxed with GGA-PBE.
Neutral-atom scattering factors, no anomalous dispersion.

Largest 12 diffraction maxima, by intensity, 2θ = 10–90°:
d 2.511, 2θ 35.76, intensity 100; d 2.079, 2θ 43.53, intensity 86; d 2.283, 2θ 39.48, intensity 57; d 2.882, 2θ 31.03, intensity 48; d 2.545, 2θ 35.26, intensity 45; d 2.225, 2θ 40.55, intensity 35; d 1.470, 2θ 63.25, intensity 29; d 2.724, 2θ 32.88, intensity 26; d 1.269, 2θ 74.83, intensity 24; d 1.610, 2θ 57.21, intensity 23; d 1.519, 2θ 61.00, intensity 21; d 1.467, 2θ 63.43, intensity 20

Structural model:
Unit cell a=14.7780 b=14.7780 c=14.7780 alpha=163.82 beta=163.82 gamma=22.95
Element x y z (fractional)
Sm 0.0000 0.0000 0.0000
Sm 0.1790 0.1790 0.0000
Sm 0.8210 0.8210 0.0000
Sb 0.3703 0.3703 0.0000
Sb 0.6297 0.6297 0.0000
Pt 0.0737 0.5737 0.5000
Pt 0.2780 0.2780 0.0000
Pt 0.4263 0.9263 0.5000
Pt 0.5000 0.5000 0.0000
Pt 0.5737 0.0737 0.5000
Pt 0.7220 0.7220 0.0000
Pt 0.9263 0.4263 0.5000

=====

[5]
This entry pairs a crystal structure of Ba2Mg12Zn3Hg with its calculated powder XRD pattern. Radiation: CuKα. Structure: a cell relaxed with GGA-PBE.
Neutral-atom scattering factors, no anomalous dispersion.

Largest 12 diffraction maxima, by intensity, 2θ = 10–90°:
d 3.968, 2θ 22.41, intensity 100; d 3.820, 2θ 23.28, intensity 91; d 2.380, 2θ 37.80, intensity 75; d 3.850, 2θ 23.10, intensity 63; d 2.256, 2θ 39.97, intensity 52; d 4.759, 2θ 18.64, intensity 47; d 2.566, 2θ 34.97, intensity 41; d 2.525, 2θ 35.55, intensity 37; d 2.020, 2θ 44.87, intensity 29; d 6.548, 2θ 13.52, intensity 28; d 1.732, 2θ 52.86, intensity 26; d 1.745, 2θ 52.44, intensity 23

Structural model:
Unit cell a=9.0463 b=9.0463 c=9.0463 alpha=63.49 beta=63.49 gamma=63.49
Element x y z (fractional)
Ba 0.1075 0.1075 0.1075
Ba 0.8925 0.8925 0.8925
Mg 0.1362 0.6130 0.6130
Mg 0.1721 0.1721 0.5817
Mg 0.1721 0.5817 0.1721
Mg 0.3870 0.3870 0.8638
Mg 0.3870 0.8638 0.3870
Mg 0.4183 0.8279 0.8279
Mg 0.5817 0.1721 0.1721
Mg 0.6130 0.1362 0.6130
Mg 0.6130 0.6130 0.1362
Mg 0.8279 0.4183 0.8279
Mg 0.8279 0.8279 0.4183
Mg 0.8638 0.3870 0.3870
Zn 0.0000 0.5000 0.5000
Zn 0.5000 0.0000 0.5000
Zn 0.5000 0.5000 0.0000
Hg 0.5000 0.5000 0.5000

=====

[6]
This entry pairs a crystal structure of Fe14SiGe with its calculated powder XRD pattern. Radiation: CuKα. Structure: a cell relaxed with GGA-PBE.
Neutral-atom scattering factors, no anomalous dispersion.

Largest 10 diffraction maxima, by intensity, 2θ = 10–90°:
d 2.073, 2θ 43.67, intensity 100; d 1.787, 2θ 51.13, intensity 30; d 1.272, 2θ 74.60, intensity 18; d 1.812, 2θ 50.36, intensity 16; d 1.263, 2θ 75.21, intensity 9; d 4.145, 2θ 21.44, intensity 2; d 2.945, 2θ 30.35, intensity 1; d 2.157, 2θ 41.87, intensity 1; d 5.053, 2θ 17.55, intensity 1; d 2.260, 2θ 39.89, intensity 1

Structural model:
Unit cell a=5.0533 b=5.0533 c=7.2478 alpha=90.00 beta=90.00 gamma=90.00
Element x y z (fractional)
Fe 0.0000 0.0000 0.0000
Fe 0.0000 0.5000 0.0000
Fe 0.0000 0.5000 0.5000
Fe 0.2454 0.2454 0.2515
Fe 0.2454 0.2454 0.7485
Fe 0.2454 0.7546 0.2515
Fe 0.2454 0.7546 0.7485
Fe 0.5000 0.0000 0.0000
Fe 0.5000 0.0000 0.5000
Fe 0.5000 0.5000 0.0000
Fe 0.7546 0.2454 0.2515
Fe 0.7546 0.2454 0.7485
Fe 0.7546 0.7546 0.2515
Fe 0.7546 0.7546 0.7485
Si 0.0000 0.0000 0.5000
Ge 0.5000 0.5000 0.5000

=====

[7]
This entry pairs a crystal structure of SbPb2O5 with its calculated powder XRD pattern. Radiation: CuKα. Structure: a cell relaxed with GGA-PBE.
Neutral-atom scattering factors, no anomalous dispersion.

Largest 12 diffraction maxima, by intensity, 2θ = 10–90°:
d 3.298, 2θ 27.04, intensity 100; d 2.948, 2θ 30.32, intensity 82; d 2.605, 2θ 34.43, intensity 41; d 2.895, 2θ 30.89, intensity 31; d 1.658, 2θ 55.40, intensity 30; d 1.939, 2θ 46.86, intensity 28; d 1.934, 2θ 46.99, intensity 28; d 2.006, 2θ 45.20, intensity 17; d 1.739, 2θ 52.62, intensity 15; d 1.303, 2θ 72.57, intensity 14; d 1.649, 2θ 55.75, intensity 13; d 1.521, 2θ 60.92, intensity 11

Structural model:
Unit cell a=11.7754 b=4.0122 c=5.7904 alpha=90.00 beta=119.26 gamma=90.00
Element x y z (fractional)
Sb 0.0000 0.0000 0.0000
Sb 0.5000 0.5000 0.0000
Pb 0.1642 0.5000 0.6646
Pb 0.3358 0.0000 0.3354
Pb 0.6642 0.0000 0.6646
Pb 0.8358 0.5000 0.3354
O 0.0000 0.5000 0.0000
O 0.1440 0.0000 0.3801
O 0.1443 0.0000 0.9069
O 0.3557 0.5000 0.0931
O 0.3560 0.5000 0.6199
O 0.5000 0.0000 0.0000
O 0.6440 0.5000 0.3801
O 0.6443 0.5000 0.9069
O 0.8557 0.0000 0.0931
O 0.8560 0.0000 0.6199